For Ce2Sn9Pb, a PBE-relaxed structure gives the simulated X-ray powder pattern in this record (Cu Kα X-rays).
No peak broadening, texture or thermal motion is included.

Main lines, low angle first (10° ≤ 2θ ≤ 90°):
index, d (Å), I/Imax
1 1 3, 2.757, 100
0 0 6, 2.471, 18
2 0 0, 2.349, 33
2 0 6, 1.702, 23
2 2 0, 1.661, 12
1 1 9, 1.476, 14
3 1 3, 1.423, 28
2 2 6, 1.378, 12
3 1 9, 1.103, 12
2 0 12, 1.093, 5

Atomic structure:
Lattice parameters (Å, degrees): 4.697 4.697 14.825 90.00 90.00 90.00
Positions (direct):
Ce: 0.000 0.000 0.154
Ce: 0.000 0.000 0.846
Sn: 0.000 0.500 0.000
Sn: 0.000 0.500 0.326
Sn: 0.000 0.500 0.674
Sn: 0.500 0.000 0.000
Sn: 0.500 0.000 0.326
Sn: 0.500 0.000 0.674
Sn: 0.500 0.500 0.162
Sn: 0.500 0.500 0.500
Sn: 0.500 0.500 0.838
Pb: 0.000 0.000 0.500